Theoretical powder XRD pattern of MgMn12O14F10 for Cu Kα (weighted mean of Kα1 and Kα2), from a crystal structure in the Materials Project, relaxed with PBE+U.

Structure:
```
data_MgMn12O14F10
_chemical_formula_sum 'Mg1 Mn12 O14 F10'
_space_group_name_H-M_alt 'P 1'
_space_group_IT_number 1
_cell_length_a 4.806
_cell_length_b 5.802
_cell_length_c 15.217
_cell_angle_alpha 89.61
_cell_angle_beta 87.65
_cell_angle_gamma 89.05
loop_
_space_group_symop_operation_xyz
'x,y,z'
loop_
_atom_site_label
_atom_site_type_symbol
_atom_site_fract_x
_atom_site_fract_y
_atom_site_fract_z
Mg1 Mg 0.000 0.000 0.000
Mn1 Mn 0.015 0.268 0.489
Mn2 Mn 0.018 0.575 0.322
Mn3 Mn 0.041 0.271 0.166
Mn4 Mn 0.450 0.768 0.829
Mn5 Mn 0.472 0.092 0.660
Mn6 Mn 0.475 0.255 0.006
Mn7 Mn 0.485 0.757 0.164
Mn8 Mn 0.495 0.761 0.504
Mn9 Mn 0.530 0.075 0.339
Mn10 Mn 0.980 0.247 0.813
Mn11 Mn 0.990 0.557 0.648
Mn12 Mn 0.999 0.529 0.991
O1 O 0.172 0.263 0.927
O2 O 0.188 0.757 0.932
O3 O 0.218 0.321 0.595
O4 O 0.265 0.802 0.607
O5 O 0.267 0.025 0.104
O6 O 0.272 0.042 0.768
O7 O 0.295 0.487 0.085
O8 O 0.300 0.034 0.443
O9 O 0.302 0.804 0.276
O10 O 0.765 0.308 0.711
O11 O 0.783 0.538 0.547
O12 O 0.812 0.282 0.059
O13 O 0.814 0.299 0.381
O14 O 0.836 0.538 0.214
F1 F 0.203 0.537 0.758
F2 F 0.254 0.542 0.426
F3 F 0.293 0.306 0.266
F4 F 0.685 0.041 0.912
F5 F 0.706 0.496 0.886
F6 F 0.731 0.044 0.558
F7 F 0.738 0.791 0.721
F8 F 0.750 0.773 0.055
F9 F 0.753 0.796 0.397
F10 F 0.756 0.037 0.225
```

Top 6 peaks for 2θ = 15–90°, by angle:
2θ 24.3, intensity 655
2θ 29.2, intensity 1000
2θ 29.7, intensity 915
2θ 30.3, intensity 913
2θ 30.5, intensity 633
2θ 53.6, intensity 677

---

Theoretical powder XRD pattern of MgMn12O14F10 for Cu Kα (weighted mean of Kα1 and Kα2), from a crystal structure in the Materials Project, relaxed with PBE+U.

Structure:
```
data_MgMn12O14F10
_chemical_formula_sum 'Mg1 Mn12 O14 F10'
_space_group_name_H-M_alt 'P 1'
_space_group_IT_number 1
_cell_length_a 4.818
_cell_length_b 5.803
_cell_length_c 15.190
_cell_angle_alpha 88.82
_cell_angle_beta 88.66
_cell_angle_gamma 87.67
loop_
_space_group_symop_operation_xyz
'x,y,z'
loop_
_atom_site_label
_atom_site_type_symbol
_atom_site_fract_x
_atom_site_fract_y
_atom_site_fract_z
Mg1 Mg 0.000 0.000 0.000
Mn1 Mn 0.007 0.739 0.827
Mn2 Mn 0.022 0.401 0.676
Mn3 Mn 0.035 0.455 0.025
Mn4 Mn 0.040 0.720 0.509
Mn5 Mn 0.044 0.401 0.345
Mn6 Mn 0.074 0.755 0.191
Mn7 Mn 0.467 0.929 0.670
Mn8 Mn 0.504 0.216 0.829
Mn9 Mn 0.509 0.235 0.502
Mn10 Mn 0.534 0.760 0.979
Mn11 Mn 0.535 0.947 0.332
Mn12 Mn 0.546 0.241 0.171
O1 O 0.159 0.701 0.948
O2 O 0.197 0.453 0.785
O3 O 0.230 0.687 0.622
O4 O 0.233 0.447 0.452
O5 O 0.271 0.962 0.776
O6 O 0.278 0.174 0.609
O7 O 0.281 0.702 0.292
O8 O 0.289 0.500 0.120
O9 O 0.311 0.181 0.275
O10 O 0.714 0.182 0.724
O11 O 0.737 0.187 0.396
O12 O 0.752 0.968 0.892
O13 O 0.760 0.972 0.230
O14 O 0.796 0.238 0.070
F1 F 0.262 0.209 0.943
F2 F 0.295 0.953 0.440
F3 F 0.295 0.972 0.094
F4 F 0.725 0.944 0.562
F5 F 0.730 0.473 0.912
F6 F 0.732 0.689 0.726
F7 F 0.782 0.708 0.398
F8 F 0.788 0.442 0.569
F9 F 0.815 0.754 0.081
F10 F 0.822 0.468 0.238
```

Top 6 peaks for 2θ = 15–90°, by angle:
2θ 23.5, intensity 654
2θ 24.5, intensity 661
2θ 29.1, intensity 838
2θ 29.9, intensity 1000
2θ 30.2, intensity 823
2θ 30.4, intensity 694